# CdCoGeO4
Theoretical X-ray diffraction stick pattern, Cu Ka. Input: a DFT-relaxed cell (GGA+U, OQMD).

Structural model:
Unit cell a=6.1232 b=6.1232 c=8.5873 alpha=90.00 beta=90.00 gamma=90.00
Space group P4_122 (No. 91)
Inequivalent atoms, fractional coordinates:
Cd: 0.2387 0.2387 0.3750 (multiplicity 4)
Co: 0.0000 0.2596 0.0000 (multiplicity 4)
Ge: 0.2577 0.5000 0.7500 (multiplicity 4)
O: 0.0564 0.2694 0.7555 (multiplicity 8)
O: 0.2725 0.4806 0.9745 (multiplicity 8)

Main lines, low angle first (2θ = 10–90°):
(hkl)  2theta  intensity
2 0 0  29.17  25
1 1 2  29.29  50
2 1 1  34.37  100
1 0 3  34.59  52
2 0 2  36.03  13
3 1 2  51.79  17
3 2 1  55.13  32
1 0 5  55.57  16
4 0 0  60.48  18
2 2 4  60.76  36
4 1 3  71.58  11
5 0 3  86.42  9